[1]
The following is a calculated powder diffraction line list of Sm2Ge2Rh. It was derived from a structure optimized by DFT (PBE), using Cu Kα.
Peak positions follow from Bragg's law for the DFT cell and can differ from measured ones.

Principal peaks in the range 2θ from 5° to 70°, in order of falling intensity:
- 2θ 32.91, 2.722 Å, rel. 1000
- 2θ 39.55, 2.279 Å, rel. 823
- 2θ 32.19, 2.781 Å, rel. 766
- 2θ 41.49, 2.176 Å, rel. 544
- 2θ 36.04, 2.492 Å, rel. 436
- 2θ 32.47, 2.757 Å, rel. 399
- 2θ 33.29, 2.692 Å, rel. 344
- 2θ 64.14, 1.452 Å, rel. 256
- 2θ 38.31, 2.349 Å, rel. 252
- 2θ 57.73, 1.597 Å, rel. 211

Atomic structure:
Lattice parameters (Å, degrees): 5.8151 5.8151 10.5745 115.16 115.16 43.96
Fractional coordinates of all 10 atoms:
Sm (0.0054, 0.0054, 0.3297)
Sm (0.1887, 0.1887, 0.1171)
Sm (0.8113, 0.8113, 0.8829)
Sm (0.9946, 0.9946, 0.6703)
Ge (0.3519, 0.3519, 0.4454)
Ge (0.4816, 0.4816, 0.1162)
Ge (0.5184, 0.5184, 0.8838)
Ge (0.6481, 0.6481, 0.5546)
Rh (0.2747, 0.2747, 0.6587)
Rh (0.7253, 0.7253, 0.3413)

---

[2]
The following is a calculated powder diffraction line list of SmGe3Rh5. It was derived from a structure optimized by DFT (PBE), using Cu Kα.
Peak positions follow from Bragg's law for the DFT cell and can differ from measured ones.

Principal peaks in the range 2θ from 5° to 70°, in order of falling intensity:
- 2θ 36.15, 2.485 Å, rel. 1000
- 2θ 45.72, 1.984 Å, rel. 345
- 2θ 49.55, 1.840 Å, rel. 224
- 2θ 69.70, 1.349 Å, rel. 158
- 2θ 45.36, 1.999 Å, rel. 149
- 2θ 34.32, 2.613 Å, rel. 130
- 2θ 51.50, 1.775 Å, rel. 126
- 2θ 38.91, 2.315 Å, rel. 116
- 2θ 40.57, 2.224 Å, rel. 107
- 2θ 37.33, 2.409 Å, rel. 96

Atomic structure:
Lattice parameters (Å, degrees): 16.0369 16.0369 3.9687 90.00 90.00 120.00
Fractional coordinates of all 54 atoms:
Sm (0.1007, 0.7058, 0.2500)
Sm (0.2942, 0.3949, 0.2500)
Sm (0.3949, 0.1007, 0.7500)
Sm (0.6051, 0.8993, 0.2500)
Sm (0.7058, 0.6051, 0.7500)
Sm (0.8993, 0.2942, 0.7500)
Ge (0.0594, 0.4299, 0.2500)
Ge (0.1182, 0.8687, 0.7500)
Ge (0.1313, 0.2495, 0.7500)
Ge (0.2380, 0.6821, 0.7500)
Ge (0.2495, 0.1182, 0.2500)
Ge (0.3179, 0.5559, 0.7500)
Ge (0.3705, 0.9406, 0.2500)
Ge (0.4299, 0.3705, 0.7500)
Ge (0.4441, 0.7620, 0.7500)
Ge (0.5559, 0.2380, 0.2500)
Ge (0.5701, 0.6295, 0.2500)
Ge (0.6295, 0.0594, 0.7500)
Ge (0.6821, 0.4441, 0.2500)
Ge (0.7505, 0.8818, 0.7500)
Ge (0.7620, 0.3179, 0.2500)
Ge (0.8687, 0.7505, 0.2500)
Ge (0.8818, 0.1313, 0.2500)
Ge (0.9406, 0.5701, 0.7500)
Rh (0.0270, 0.8948, 0.2500)
Rh (0.0454, 0.2679, 0.2500)
Rh (0.0753, 0.5369, 0.7500)
Rh (0.1052, 0.1322, 0.2500)
Rh (0.1322, 0.0270, 0.7500)
Rh (0.1506, 0.4127, 0.7500)
Rh (0.2233, 0.5701, 0.2500)
Rh (0.2225, 0.9546, 0.2500)
Rh (0.2621, 0.8494, 0.7500)
Rh (0.2679, 0.2225, 0.7500)
Rh (0.3467, 0.7767, 0.2500)
Rh (0.4127, 0.2621, 0.2500)
Rh (0.4299, 0.6533, 0.2500)
Rh (0.4616, 0.9247, 0.7500)
Rh (0.4631, 0.5384, 0.7500)
Rh (0.5369, 0.4616, 0.2500)
Rh (0.5384, 0.0753, 0.2500)
Rh (0.5701, 0.3467, 0.7500)
Rh (0.5873, 0.7379, 0.7500)
Rh (0.6533, 0.2233, 0.7500)
Rh (0.7321, 0.7775, 0.2500)
Rh (0.7379, 0.1506, 0.2500)
Rh (0.7775, 0.0454, 0.7500)
Rh (0.7767, 0.4299, 0.7500)
Rh (0.8494, 0.5873, 0.2500)
Rh (0.8678, 0.9730, 0.2500)
Rh (0.8948, 0.8678, 0.7500)
Rh (0.9247, 0.4631, 0.2500)
Rh (0.9546, 0.7321, 0.7500)
Rh (0.9730, 0.1052, 0.7500)

---

[3]
The following is a calculated powder diffraction line list of Tb3Ge13Rh4. It was derived from a structure optimized by DFT (PBE), using Cu Kα.
Peak positions follow from Bragg's law for the DFT cell and can differ from measured ones.

Principal peaks in the range 2θ from 5° to 70°, in order of falling intensity:
- 2θ 35.73, 2.513 Å, rel. 1000
- 2θ 37.13, 2.421 Å, rel. 407
- 2θ 39.80, 2.265 Å, rel. 310
- 2θ 34.29, 2.615 Å, rel. 237
- 2θ 68.73, 1.366 Å, rel. 215
- 2θ 49.28, 1.849 Å, rel. 208
- 2θ 63.28, 1.470 Å, rel. 139
- 2θ 21.94, 4.052 Å, rel. 128
- 2θ 59.50, 1.554 Å, rel. 125
- 2θ 41.08, 2.197 Å, rel. 112

Atomic structure:
Lattice parameters (Å, degrees): 9.0595 9.0595 9.0595 90.00 90.00 90.00
Fractional coordinates of all 40 atoms:
Tb (0.0000, 0.2500, 0.5000)
Tb (0.0000, 0.7500, 0.5000)
Tb (0.2500, 0.5000, 0.0000)
Tb (0.5000, 0.0000, 0.2500)
Tb (0.5000, 0.0000, 0.7500)
Tb (0.7500, 0.5000, 0.0000)
Ge (0.0000, 0.0000, 0.0000)
Ge (0.0000, 0.3099, 0.1471)
Ge (0.0000, 0.3099, 0.8529)
Ge (0.0000, 0.6901, 0.1471)
Ge (0.0000, 0.6901, 0.8529)
Ge (0.1471, 0.0000, 0.3099)
Ge (0.1471, 0.0000, 0.6901)
Ge (0.1901, 0.5000, 0.3529)
Ge (0.1901, 0.5000, 0.6471)
Ge (0.3099, 0.1471, 0.0000)
Ge (0.3099, 0.8529, 0.0000)
Ge (0.3529, 0.1901, 0.5000)
Ge (0.3529, 0.8099, 0.5000)
Ge (0.5000, 0.3529, 0.1901)
Ge (0.5000, 0.3529, 0.8099)
Ge (0.5000, 0.5000, 0.5000)
Ge (0.5000, 0.6471, 0.1901)
Ge (0.5000, 0.6471, 0.8099)
Ge (0.6471, 0.1901, 0.5000)
Ge (0.6471, 0.8099, 0.5000)
Ge (0.6901, 0.1471, 0.0000)
Ge (0.6901, 0.8529, 0.0000)
Ge (0.8099, 0.5000, 0.3529)
Ge (0.8099, 0.5000, 0.6471)
Ge (0.8529, 0.0000, 0.3099)
Ge (0.8529, 0.0000, 0.6901)
Rh (0.2500, 0.2500, 0.2500)
Rh (0.2500, 0.2500, 0.7500)
Rh (0.2500, 0.7500, 0.2500)
Rh (0.2500, 0.7500, 0.7500)
Rh (0.7500, 0.2500, 0.2500)
Rh (0.7500, 0.2500, 0.7500)
Rh (0.7500, 0.7500, 0.2500)
Rh (0.7500, 0.7500, 0.7500)

---

[4]
The following is a calculated powder diffraction line list of Tb3Ge2Rh2. It was derived from a structure optimized by DFT (PBE), using Cu Kα.
Peak positions follow from Bragg's law for the DFT cell and can differ from measured ones.

Principal peaks in the range 2θ from 5° to 70°, in order of falling intensity:
- 2θ 39.65, 2.273 Å, rel. 1000
- 2θ 37.72, 2.385 Å, rel. 759
- 2θ 33.32, 2.689 Å, rel. 607
- 2θ 34.35, 2.611 Å, rel. 560
- 2θ 33.85, 2.648 Å, rel. 553
- 2θ 35.31, 2.542 Å, rel. 485
- 2θ 40.75, 2.214 Å, rel. 363
- 2θ 30.32, 2.948 Å, rel. 306
- 2θ 34.53, 2.597 Å, rel. 243
- 2θ 48.87, 1.863 Å, rel. 234

Atomic structure:
Lattice parameters (Å, degrees): 5.6219 7.9006 13.2853 90.00 90.00 90.00
Fractional coordinates of all 28 atoms:
Tb (0.1335, 0.2481, 0.2500)
Tb (0.1335, 0.2519, 0.7500)
Tb (0.3536, 0.6066, 0.1003)
Tb (0.3536, 0.6066, 0.3997)
Tb (0.3536, 0.8934, 0.6003)
Tb (0.3536, 0.8934, 0.8997)
Tb (0.6464, 0.1066, 0.1003)
Tb (0.6464, 0.1066, 0.3997)
Tb (0.6464, 0.3934, 0.6003)
Tb (0.6464, 0.3934, 0.8997)
Tb (0.8665, 0.7481, 0.2500)
Tb (0.8665, 0.7519, 0.7500)
Ge (0.1589, 0.2500, 0.0000)
Ge (0.1589, 0.2500, 0.5000)
Ge (0.3675, 0.6074, 0.7500)
Ge (0.3675, 0.8926, 0.2500)
Ge (0.6325, 0.1074, 0.7500)
Ge (0.6325, 0.3926, 0.2500)
Ge (0.8411, 0.7500, 0.0000)
Ge (0.8411, 0.7500, 0.5000)
Rh (0.1240, 0.5386, 0.5934)
Rh (0.1240, 0.5386, 0.9066)
Rh (0.1240, 0.9614, 0.0934)
Rh (0.1240, 0.9614, 0.4066)
Rh (0.8760, 0.0386, 0.5934)
Rh (0.8760, 0.0386, 0.9066)
Rh (0.8760, 0.4614, 0.0934)
Rh (0.8760, 0.4614, 0.4066)

---

[5]
The following is a calculated powder diffraction line list of ThGe2Rh2. It was derived from a structure optimized by DFT (PBE), using Cu Kα.
Peak positions follow from Bragg's law for the DFT cell and can differ from measured ones.

Principal peaks in the range 2θ from 5° to 70°, in order of falling intensity:
- 2θ 34.70, 2.586 Å, rel. 1000
- 2θ 33.40, 2.683 Å, rel. 594
- 2θ 42.99, 2.104 Å, rel. 487
- 2θ 55.50, 1.656 Å, rel. 284
- 2θ 48.65, 1.872 Å, rel. 232
- 2θ 22.78, 3.903 Å, rel. 185
- 2θ 66.91, 1.398 Å, rel. 180
- 2θ 61.72, 1.503 Å, rel. 169
- 2θ 62.42, 1.488 Å, rel. 160
- 2θ 34.33, 2.612 Å, rel. 107

Atomic structure:
Lattice parameters (Å, degrees): 6.0118 6.0118 6.0118 139.03 139.03 59.33
Fractional coordinates of all 5 atoms:
Th (0.0000, 0.0000, 0.0000)
Ge (0.3782, 0.3782, 0.0000)
Ge (0.6218, 0.6218, 0.0000)
Rh (0.2500, 0.7500, 0.5000)
Rh (0.7500, 0.2500, 0.5000)

---

[6]
The following is a calculated powder diffraction line list of TiGeRh. It was derived from a structure optimized by DFT (PBE), using Cu Kα.
Peak positions follow from Bragg's law for the DFT cell and can differ from measured ones.

Principal peaks in the range 2θ from 5° to 70°, in order of falling intensity:
- 2θ 36.81, 2.441 Å, rel. 1000
- 2θ 40.05, 2.251 Å, rel. 762
- 2θ 41.39, 2.182 Å, rel. 499
- 2θ 48.88, 1.863 Å, rel. 381
- 2θ 41.20, 2.191 Å, rel. 316
- 2θ 47.10, 1.929 Å, rel. 300
- 2θ 51.00, 1.791 Å, rel. 294
- 2θ 40.16, 2.245 Å, rel. 277
- 2θ 24.86, 3.582 Å, rel. 275
- 2θ 48.73, 1.869 Å, rel. 215

Atomic structure:
Lattice parameters (Å, degrees): 7.5659 7.5659 7.5659 123.49 80.77 127.49
Fractional coordinates of all 18 atoms:
Ti (0.0013, 0.2500, 0.2513)
Ti (0.4206, 0.3936, 0.5270)
Ti (0.4238, 0.8693, 0.0546)
Ti (0.8147, 0.3693, 0.9454)
Ti (0.8667, 0.8936, 0.4730)
Ti (0.9987, 0.7500, 0.7487)
Ge (0.0866, 0.4242, 0.6717)
Ge (0.0866, 0.9149, 0.1624)
Ge (0.3827, 0.1647, 0.7180)
Ge (0.4467, 0.6647, 0.2820)
Ge (0.7525, 0.4149, 0.3283)
Ge (0.7525, 0.9242, 0.8376)
Rh (0.1609, 0.3302, 0.9136)
Rh (0.1609, 0.7473, 0.3308)
Rh (0.4166, 0.2473, 0.0864)
Rh (0.4166, 0.8302, 0.6692)
Rh (0.6764, 0.1764, 0.5000)
Rh (0.6764, 0.6764, 0.0000)

---

[7]
The following is a calculated powder diffraction line list of Tm3Ge2Rh2. It was derived from a structure optimized by DFT (PBE), using Cu Kα.
Peak positions follow from Bragg's law for the DFT cell and can differ from measured ones.

Principal peaks in the range 2θ from 5° to 70°, in order of falling intensity:
- 2θ 40.26, 2.240 Å, rel. 1000
- 2θ 38.37, 2.346 Å, rel. 780
- 2θ 33.84, 2.649 Å, rel. 639
- 2θ 34.91, 2.570 Å, rel. 597
- 2θ 34.35, 2.611 Å, rel. 580
- 2θ 35.89, 2.502 Å, rel. 506
- 2θ 41.39, 2.181 Å, rel. 377
- 2θ 30.83, 2.901 Å, rel. 317
- 2θ 35.05, 2.560 Å, rel. 260
- 2θ 67.59, 1.386 Å, rel. 240

Atomic structure:
Lattice parameters (Å, degrees): 5.5436 7.7668 13.0877 90.00 90.00 90.00
Fractional coordinates of all 28 atoms:
Tm (0.1270, 0.2463, 0.2500)
Tm (0.1270, 0.2537, 0.7500)
Tm (0.3524, 0.6057, 0.1002)
Tm (0.3524, 0.6057, 0.3998)
Tm (0.3524, 0.8943, 0.6002)
Tm (0.3524, 0.8943, 0.8998)
Tm (0.6476, 0.1057, 0.1002)
Tm (0.6476, 0.1057, 0.3998)
Tm (0.6476, 0.3943, 0.6002)
Tm (0.6476, 0.3943, 0.8998)
Tm (0.8730, 0.7463, 0.2500)
Tm (0.8730, 0.7537, 0.7500)
Ge (0.1611, 0.2500, 0.0000)
Ge (0.1611, 0.2500, 0.5000)
Ge (0.3794, 0.6097, 0.7500)
Ge (0.3794, 0.8903, 0.2500)
Ge (0.6206, 0.1097, 0.7500)
Ge (0.6206, 0.3903, 0.2500)
Ge (0.8389, 0.7500, 0.0000)
Ge (0.8389, 0.7500, 0.5000)
Rh (0.1279, 0.5401, 0.5938)
Rh (0.1279, 0.5401, 0.9062)
Rh (0.1279, 0.9599, 0.0938)
Rh (0.1279, 0.9599, 0.4062)
Rh (0.8721, 0.0401, 0.5938)
Rh (0.8721, 0.0401, 0.9062)
Rh (0.8721, 0.4599, 0.0938)
Rh (0.8721, 0.4599, 0.4062)

---

[8]
The following is a calculated powder diffraction line list of Tm3Ge13Rh4. It was derived from a structure optimized by DFT (PBE), using Cu Kα.
Peak positions follow from Bragg's law for the DFT cell and can differ from measured ones.

Principal peaks in the range 2θ from 5° to 70°, in order of falling intensity:
- 2θ 36.08, 2.490 Å, rel. 1000
- 2θ 37.49, 2.399 Å, rel. 410
- 2θ 40.18, 2.244 Å, rel. 310
- 2θ 34.61, 2.591 Å, rel. 246
- 2θ 69.45, 1.353 Å, rel. 219
- 2θ 49.76, 1.832 Å, rel. 189
- 2θ 22.14, 4.015 Å, rel. 154
- 2θ 63.93, 1.456 Å, rel. 138
- 2θ 60.10, 1.540 Å, rel. 123
- 2θ 41.48, 2.177 Å, rel. 105

Atomic structure:
Lattice parameters (Å, degrees): 8.9768 8.9768 8.9768 90.00 90.00 90.00
Fractional coordinates of all 40 atoms:
Tm (0.0000, 0.2500, 0.5000)
Tm (0.0000, 0.7500, 0.5000)
Tm (0.2500, 0.5000, 0.0000)
Tm (0.5000, 0.0000, 0.2500)
Tm (0.5000, 0.0000, 0.7500)
Tm (0.7500, 0.5000, 0.0000)
Ge (0.0000, 0.0000, 0.0000)
Ge (0.0000, 0.3105, 0.1475)
Ge (0.0000, 0.3105, 0.8525)
Ge (0.0000, 0.6895, 0.1475)
Ge (0.0000, 0.6895, 0.8525)
Ge (0.1475, 0.0000, 0.3105)
Ge (0.1475, 0.0000, 0.6895)
Ge (0.1895, 0.5000, 0.3525)
Ge (0.1895, 0.5000, 0.6475)
Ge (0.3105, 0.1475, 0.0000)
Ge (0.3105, 0.8525, 0.0000)
Ge (0.3525, 0.1895, 0.5000)
Ge (0.3525, 0.8105, 0.5000)
Ge (0.5000, 0.3525, 0.1895)
Ge (0.5000, 0.3525, 0.8105)
Ge (0.5000, 0.5000, 0.5000)
Ge (0.5000, 0.6475, 0.1895)
Ge (0.5000, 0.6475, 0.8105)
Ge (0.6475, 0.1895, 0.5000)
Ge (0.6475, 0.8105, 0.5000)
Ge (0.6895, 0.1475, 0.0000)
Ge (0.6895, 0.8525, 0.0000)
Ge (0.8105, 0.5000, 0.3525)
Ge (0.8105, 0.5000, 0.6475)
Ge (0.8525, 0.0000, 0.3105)
Ge (0.8525, 0.0000, 0.6895)
Rh (0.2500, 0.2500, 0.2500)
Rh (0.2500, 0.2500, 0.7500)
Rh (0.2500, 0.7500, 0.2500)
Rh (0.2500, 0.7500, 0.7500)
Rh (0.7500, 0.2500, 0.2500)
Rh (0.7500, 0.2500, 0.7500)
Rh (0.7500, 0.7500, 0.2500)
Rh (0.7500, 0.7500, 0.7500)